No. 1
Mn9Ga2SnC3: calculated powder X-ray diffraction pattern (copper Kα), based on a crystal structure in Alexandria, relaxed with GGA-PBE.
Lines closer than 0.1° are merged.

a b c (Å): 4.625 4.625 15.364
angles (deg): 90.00 90.00 90.00
Atoms (fractional coordinates):
Mn 0.000 0.000 0.000
Mn 0.000 0.000 0.324
Mn 0.000 0.000 0.676
Mn 0.000 0.500 0.086
Mn 0.000 0.500 0.500
Mn 0.000 0.500 0.914
Mn 0.500 0.000 0.086
Mn 0.500 0.000 0.500
Mn 0.500 0.000 0.914
Ga 0.000 0.000 0.166
Ga 0.000 0.000 0.834
Sn 0.000 0.000 0.500
C 0.500 0.500 0.000
C 0.500 0.500 0.457
C 0.500 0.500 0.543

Top 12 peaks for 2θ from 10° to 90°, in order of rising 2θ:
(hkl)	two_theta	d [Å]	intensity
0 0 2	11.5	7.682	88
0 0 3	17.3	5.121	20
1 0 0	19.2	4.625	100
0 0 5	29.1	3.073	17
2 0 0	38.9	2.312	65
1 0 6	40.3	2.240	43
2 1 0	43.8	2.068	24
1 1 6	45.0	2.016	40
2 0 5	49.3	1.848	15
2 2 0	56.3	1.635	21
2 1 6	57.3	1.609	23
3 1 6	74.8	1.270	16

No. 2
TmMn2Ga2C: calculated powder X-ray diffraction pattern (copper Kα), based on a crystal structure in Alexandria, relaxed with GGA-PBE.
Lines closer than 0.1° are merged.

a b c (Å): 3.890 3.890 5.525
angles (deg): 90.00 90.00 90.00
Atoms (fractional coordinates):
Tm 0.000 0.000 0.000
Mn 0.000 0.500 0.500
Mn 0.500 0.000 0.500
Ga 0.500 0.500 0.222
Ga 0.500 0.500 0.778
C 0.000 0.000 0.500

Top 12 peaks for 2θ from 10° to 90°, in order of rising 2θ:
(hkl)	two_theta	d [Å]	intensity
1 0 1	28.1	3.180	39
1 1 0	32.6	2.750	35
1 1 1	36.5	2.462	100
1 0 2	40.0	2.252	89
2 0 0	46.7	1.945	54
1 0 3	55.2	1.665	19
2 1 1	55.4	1.659	13
2 1 2	63.2	1.472	45
2 2 0	68.2	1.375	16
2 1 3	75.1	1.265	15
3 1 1	79.9	1.201	20
2 0 4	86.4	1.126	15

No. 3
Ga2Mo4C: calculated powder X-ray diffraction pattern (copper Kα), based on a crystal structure in Alexandria, relaxed with GGA-PBE.
Lines closer than 0.1° are merged.

a b c (Å): 5.222 3.041 7.223
angles (deg): 90.00 110.94 90.00
Atoms (fractional coordinates):
Ga 0.177 0.000 0.357
Ga 0.823 0.000 0.643
Mo 0.232 0.000 0.000
Mo 0.348 0.500 0.691
Mo 0.652 0.500 0.309
Mo 0.768 0.000 0.000
C 0.500 0.500 0.000

Top 12 peaks for 2θ from 10° to 90°, in order of rising 2θ:
(hkl)	two_theta	d [Å]	intensity
0 1 1	32.3	2.772	26
1 1 0	34.8	2.579	68
2 0 0	36.9	2.438	38
2 0 -2	37.0	2.431	41
1 1 1	39.7	2.269	100
0 1 2	39.9	2.258	48
0 0 3	40.1	2.249	70
2 0 1	43.8	2.069	28
2 0 -3	43.9	2.060	25
2 1 0	47.9	1.901	31
0 2 0	60.9	1.520	22
2 2 -2	73.4	1.289	23